This entry pairs a crystal structure of CsFeB2F8 with its calculated powder X-ray diffraction pattern. Radiation: a wavelength of 1.5418 Å. Structure: a DFT-relaxed cell (PBE+U, Alexandria).
Peak positions follow from Bragg's law for the DFT cell and can differ from measured ones.

Structural model:
a b c (Å): 8.5465 8.5465 8.5465
angles (deg): 35.74 35.74 35.74
Positions (direct):
Cs 0.0000 0.0000 0.0000
Fe 0.5000 0.5000 0.5000
B 0.2403 0.2403 0.2403
B 0.7597 0.7597 0.7597
F 0.0423 0.7619 0.5304
F 0.2381 0.4696 0.9577
F 0.3000 0.3000 0.3000
F 0.4696 0.9577 0.2381
F 0.5304 0.0423 0.7619
F 0.7000 0.7000 0.7000
F 0.7619 0.5304 0.0423
F 0.9577 0.2381 0.4696

Peak list (10 most intense, 10 to 90 degrees two-theta, by intensity)
d 3.620, rel. 100
d 2.193, rel. 37
d 2.122, rel. 28
d 2.623, rel. 27
d 4.248, rel. 24
d 2.492, rel. 22
d 1.650, rel. 20
d 2.502, rel. 17
d 2.232, rel. 12
d 1.700, rel. 11